Entry 1:
Simulated powder diffractogram of Tm5CdPb4 for Cu Kα (weighted mean of Kα1 and Kα2), from a crystal structure in Alexandria, relaxed with PBE.

The 6 most intense peaks (10 to 90 degrees two-theta), by angle:
two_theta  I (rel.)
28.4  30
29.2  100
31.3  19
41.2  55
41.8  36
51.3  25

```
data_Tm5CdPb4
_chemical_formula_sum 'Tm10 Cd2 Pb8'
_cell_length_a 9.672
_cell_length_b 9.672
_cell_length_c 6.285
_cell_angle_alpha 90.00
_cell_angle_beta 90.00
_cell_angle_gamma 90.00
_space_group_name_H-M_alt 'I 4'
_space_group_IT_number 79
loop_
_space_group_symop_operation_xyz
'x,y,z'
'-y,x,z'
'-x,-y,z'
'y,-x,z'
'x+1/2,y+1/2,z+1/2'
'-y+1/2,x+1/2,z+1/2'
'-x+1/2,-y+1/2,z+1/2'
'y+1/2,-x+1/2,z+1/2'
loop_
_atom_site_label
_atom_site_fract_x
_atom_site_fract_y
_atom_site_fract_z
Tm1 0.000 0.000 0.000
Tm2 0.092 0.687 0.310
Cd1 0.000 0.000 0.498
Pb1 0.104 0.719 0.807
```

***

Entry 2:
Simulated powder diffractogram of Al2Zn4Ag3 for Cu Kα (weighted mean of Kα1 and Kα2), from a crystal structure in Alexandria, relaxed with PBE.

The 6 most intense peaks (10 to 90 degrees two-theta), by angle:
two_theta  I (rel.)
37.4  100
40.4  79
43.1  33
44.5  30
48.0  24
66.5  17

```
data_Al2Zn4Ag3
_chemical_formula_sum 'Al4 Zn8 Ag6'
_cell_length_a 12.673
_cell_length_b 3.788
_cell_length_c 6.735
_cell_angle_alpha 90.00
_cell_angle_beta 114.98
_cell_angle_gamma 90.00
_space_group_name_H-M_alt 'C 1 2/m 1'
_space_group_IT_number 12
loop_
_space_group_symop_operation_xyz
'x,y,z'
'-x,-y,-z'
'-x,y,-z'
'x,-y,z'
'x+1/2,y+1/2,z'
'-x+1/2,-y+1/2,-z'
'-x+1/2,y+1/2,-z'
'x+1/2,-y+1/2,z'
loop_
_atom_site_label
_atom_site_fract_x
_atom_site_fract_y
_atom_site_fract_z
Al1 0.164 0.000 0.004
Zn1 0.057 0.000 0.339
Zn2 0.221 0.500 0.338
Ag1 0.000 0.500 0.000
Ag2 0.118 0.500 0.676
```

***

Entry 3:
Simulated powder diffractogram of K3Os2PdO9 for Cu Kα (weighted mean of Kα1 and Kα2), from a crystal structure in Alexandria, relaxed with PBE.

The 6 most intense peaks (10 to 90 degrees two-theta), by angle:
two_theta  I (rel.)
21.8  100
30.5  81
31.6  70
44.5  47
49.4  22
55.6  30

```
data_K3Os2PdO9
_chemical_formula_sum 'K3 Os2 Pd1 O9'
_cell_length_a 5.6682
_cell_length_b 5.6682
_cell_length_c 7.2932
_cell_angle_alpha 90.00
_cell_angle_beta 90.00
_cell_angle_gamma 120.00
_space_group_name_H-M_alt 'P -3 m 1'
_space_group_IT_number 164
_space_group_name_Hall '-P 3 2"'
loop_
_atom_site_label
_atom_site_fract_x
_atom_site_fract_y
_atom_site_fract_z
K1 0.0000 0.0000 0.0000
K2 0.3333 0.6667 0.6641
Os1 0.3333 0.6667 0.1625
Pd1 0.0000 0.0000 0.5000
O1 0.0000 0.5000 0.0000
O2 0.1746 0.3493 0.2962
```

***

Entry 4:
Simulated powder diffractogram of Ho12AgPd6 for Cu Kα (weighted mean of Kα1 and Kα2), from a crystal structure in Alexandria, relaxed with PBE.

The 6 most intense peaks (10 to 90 degrees two-theta), by angle:
two_theta  I (rel.)
22.4  32
26.5  59
33.0  38
33.6  27
36.6  100
39.0  60

```
data_Ho12AgPd6
_chemical_formula_sum 'Ho36 Ag3 Pd18'
_cell_length_a 12.9987
_cell_length_b 12.9987
_cell_length_c 10.9876
_cell_angle_alpha 90.00
_cell_angle_beta 90.00
_cell_angle_gamma 120.00
_space_group_name_H-M_alt 'R -3'
_space_group_IT_number 148
_space_group_name_Hall '-R 3'
loop_
_atom_site_label
_atom_site_fract_x
_atom_site_fract_y
_atom_site_fract_z
Ho1 0.0309 0.2112 0.3828
Ho2 0.0398 0.2155 0.8866
Ag1 0.0000 0.0000 0.0000
Pd1 0.0441 0.2616 0.6415
```

***

Entry 5:
Simulated powder diffractogram of Ba2NaAg3O6 for Cu Kα (weighted mean of Kα1 and Kα2), from a crystal structure in Alexandria, relaxed with PBE.

The 6 most intense peaks (10 to 90 degrees two-theta), by angle:
two_theta  I (rel.)
26.0  100
30.4  98
31.1  99
44.6  53
47.7  45
55.0  36

```
data_Ba2NaAg3O6
_chemical_formula_sum 'Ba2 Na1 Ag3 O6'
_cell_length_a 4.063
_cell_length_b 4.063
_cell_length_c 12.753
_cell_angle_alpha 90.00
_cell_angle_beta 90.00
_cell_angle_gamma 90.00
_space_group_name_H-M_alt 'P 4/m m m'
_space_group_IT_number 123
_space_group_name_Hall '-P 4 2'
loop_
_atom_site_label
_atom_site_fract_x
_atom_site_fract_y
_atom_site_fract_z
Ba1 0.000 0.000 0.212
Na1 0.000 0.000 0.500
Ag1 0.500 0.500 0.000
Ag2 0.500 0.500 0.384
O1 0.000 0.500 0.360
O2 0.500 0.500 0.157
```

***

Entry 6:
Simulated powder diffractogram of Tb7Dy2In2 for Cu Kα (weighted mean of Kα1 and Kα2), from a crystal structure in Alexandria, relaxed with PBE.

The 6 most intense peaks (10 to 90 degrees two-theta), by angle:
two_theta  I (rel.)
27.0  63
29.9  100
32.4  76
33.2  88
33.4  96
35.1  63

```
data_Tb7Dy2In2
_chemical_formula_sum 'Tb14 Dy4 In4'
_cell_length_a 3.629
_cell_length_b 17.305
_cell_length_c 11.052
_cell_angle_alpha 90.00
_cell_angle_beta 90.00
_cell_angle_gamma 90.00
_space_group_name_H-M_alt 'I m m 2'
_space_group_IT_number 44
loop_
_space_group_symop_operation_xyz
'x,y,z'
'-x,-y,z'
'-x,y,z'
'x,-y,z'
'x+1/2,y+1/2,z+1/2'
'-x+1/2,-y+1/2,z+1/2'
'-x+1/2,y+1/2,z+1/2'
'x+1/2,-y+1/2,z+1/2'
loop_
_atom_site_label
_atom_site_fract_x
_atom_site_fract_y
_atom_site_fract_z
Tb1 0.000 0.000 0.000
Tb2 0.000 0.106 0.564
Tb3 0.000 0.326 0.318
Tb4 0.000 0.347 0.799
Dy1 0.000 0.221 0.060
In1 0.000 0.000 0.305
In2 0.000 0.500 0.257
```